This entry pairs a crystal structure of Tl3VS4 with its computed powder diffractogram. Radiation: copper Kα. Structure: a structure optimized by DFT (GGA-PBE).

Atomic structure:
Cell lengths 6.6238, 6.6238, 6.6238 Å; angles 109.47, 109.47, 109.47 degrees
Fractional positions:
Tl 0.0000 0.5000 0.5000
Tl 0.5000 0.0000 0.5000
Tl 0.5000 0.5000 0.0000
V 0.0000 0.0000 0.0000
S 0.0000 0.0000 0.3272
S 0.0000 0.3272 0.0000
S 0.3272 0.0000 0.0000
S 0.6728 0.6728 0.6728

The 10 most intense peaks (2θ = 10–90°), low angle first:
d_spacing, I_rel
3.824, 90.0
3.123, 22.4
2.704, 100.0
2.419, 15.0
2.208, 33.8
1.912, 13.4
1.710, 52.3
1.561, 34.2
1.275, 23.6
1.153, 14.5



This entry pairs a crystal structure of TlV12S16 with its computed powder diffractogram. Radiation: copper Kα. Structure: a structure optimized by DFT (GGA-PBE).

Atomic structure:
Cell lengths 6.4825, 9.1581, 9.7054 Å; angles 118.13, 109.51, 90.00 degrees
Fractional positions:
Tl 0.0000 0.0000 0.0000
V 0.0348 0.6313 0.1184
V 0.0433 0.5091 0.6260
V 0.1611 0.4904 0.3732
V 0.1674 0.3745 0.8831
V 0.2335 0.8819 0.5141
V 0.4772 0.1177 0.4919
V 0.5338 0.5095 0.6267
V 0.5348 0.6296 0.1185
V 0.6607 0.4865 0.3680
V 0.6663 0.3747 0.8828
V 0.7300 0.8838 0.5108
V 0.9655 0.1180 0.4916
S 0.0015 0.3526 0.0535
S 0.0791 0.0528 0.7072
S 0.1260 0.9489 0.3014
S 0.2014 0.6551 0.9480
S 0.3023 0.7064 0.6537
S 0.3083 0.3318 0.6659
S 0.3924 0.6669 0.3338
S 0.3990 0.2937 0.3457
S 0.5017 0.3487 0.0523
S 0.5799 0.0532 0.7082
S 0.6225 0.9473 0.2942
S 0.6983 0.6556 0.9482
S 0.7989 0.7002 0.6477
S 0.8094 0.3360 0.6678
S 0.8926 0.6677 0.3341
S 0.8978 0.2927 0.3450

The 10 most intense peaks (2θ = 10–90°), low angle first:
d_spacing, I_rel
6.000, 18.9
4.400, 20.2
3.963, 24.7
2.998, 40.2
2.643, 31.6
2.509, 20.3
2.199, 100.0
1.869, 29.0
1.730, 17.4
1.304, 14.5



This entry pairs a crystal structure of Y7TlS5 with its computed powder diffractogram. Radiation: copper Kα. Structure: a structure optimized by DFT (GGA-PBE).

Atomic structure:
Cell lengths 6.8366, 6.8366, 23.5801 Å; angles 90.01, 90.01, 33.45 degrees
Fractional positions:
Y 0.0151 0.0151 0.2500
Y 0.1362 0.1362 0.9644
Y 0.1370 0.1370 0.5356
Y 0.3247 0.3247 0.3285
Y 0.3255 0.3255 0.1714
Y 0.4067 0.4067 0.8904
Y 0.4075 0.4075 0.6096
Y 0.5925 0.5925 0.3904
Y 0.5933 0.5933 0.1096
Y 0.6745 0.6745 0.8286
Y 0.6753 0.6753 0.6715
Y 0.8630 0.8630 0.4644
Y 0.8638 0.8638 0.0356
Y 0.9849 0.9849 0.7500
Tl 0.3006 0.3006 0.7501
Tl 0.6994 0.6994 0.2499
S 0.0433 0.0433 0.6390
S 0.0437 0.0437 0.8610
S 0.2262 0.2262 0.0699
S 0.2267 0.2267 0.4301
S 0.5000 0.5000 0.0000
S 0.5000 0.5000 0.5000
S 0.7733 0.7733 0.5699
S 0.7738 0.7738 0.9301
S 0.9563 0.9563 0.1390
S 0.9567 0.9567 0.3610

The 10 most intense peaks (2θ = 10–90°), low angle first:
d_spacing, I_rel
2.995, 75.0
2.945, 48.3
2.837, 100.0
2.740, 59.9
2.512, 26.0
2.151, 25.2
2.045, 24.2
1.980, 37.2
1.967, 30.9
1.645, 24.7